[1]
The following is a calculated X-ray powder pattern of KTl3Ga3Au4. It was derived from a DFT-relaxed cell (PBE, OQMD), using Cu Kα.
No peak broadening, texture or thermal motion is included.

Peak list (12 most intense, 2θ = 5–70°, low angle first)
two_theta	I_rel
12.29	36
20.53	38
24.73	21
29.81	29
32.35	69
32.91	55
39.10	100
41.76	32
43.10	36
43.54	24
54.16	27
68.69	25

a b c (Å): 8.3154 8.3154 4.3259
angles (deg): 90.00 90.00 120.00
Fractional positions:
K1 0.0000 0.0000 0.0000
Tl1 0.1909 0.3818 0.5000
Tl2 0.1909 0.8091 0.5000
Tl3 0.6182 0.8091 0.5000
Ga1 0.5384 0.0767 0.0000
Ga2 0.5384 0.4616 0.0000
Ga3 0.9233 0.4616 0.0000
Au1 0.3333 0.6667 0.0000
Au2 0.4302 0.2151 0.5000
Au3 0.7849 0.2151 0.5000
Au4 0.7849 0.5698 0.5000



[2]
The following is a calculated X-ray powder pattern of PrNdGe4Pd2. It was derived from a DFT-relaxed cell (PBE, OQMD), using Cu Kα.
No peak broadening, texture or thermal motion is included.

Peak list (12 most intense, 2θ = 5–70°, low angle first)
two_theta	I_rel
10.17	21
28.87	21
29.31	64
32.74	86
32.86	100
33.07	53
37.14	51
41.05	62
41.48	58
46.59	33
53.69	26
59.78	39

a b c (Å): 4.3545 4.3979 8.9523
angles (deg): 90.00 103.68 90.00
Fractional positions:
Pr1 0.0000 0.0000 0.0000
Nd1 0.2300 0.5000 0.4321
Ge1 0.3593 0.0000 0.7179
Ge2 0.5371 0.5000 0.1443
Ge3 0.6913 0.0000 0.2871
Ge4 0.8703 0.5000 0.7147
Pd1 0.4440 0.5000 0.8634
Pd2 0.7850 0.0000 0.5683



[3]
The following is a calculated X-ray powder pattern of CdIn2Pb2. It was derived from a DFT-relaxed cell (PBE, OQMD), using Cu Kα.
No peak broadening, texture or thermal motion is included.

Peak list (12 most intense, 2θ = 5–70°, low angle first)
two_theta	I_rel
20.59	53
26.61	47
28.02	24
30.49	100
35.89	97
36.99	63
40.05	65
48.73	18
54.85	66
57.92	22
66.87	20
69.06	25

a b c (Å): 4.5030 4.5030 15.0423
angles (deg): 90.00 90.00 90.00
Fractional positions:
Cd1 0.0000 0.0000 0.0000
Cd2 0.5000 0.5000 0.5000
In1 0.0000 0.5000 0.2500
In2 0.0000 0.5000 0.7500
In3 0.5000 0.0000 0.2500
In4 0.5000 0.0000 0.7500
Pb1 0.0000 0.0000 0.3966
Pb2 0.0000 0.0000 0.6034
Pb3 0.5000 0.5000 0.1034
Pb4 0.5000 0.5000 0.8966



[4]
The following is a calculated X-ray powder pattern of SrHfNO. It was derived from a DFT-relaxed cell (PBE, OQMD), using Cu Kα.
No peak broadening, texture or thermal motion is included.

Peak list (12 most intense, 2θ = 5–70°, low angle first)
two_theta	I_rel
11.42	32
26.38	17
26.52	42
31.38	52
31.50	100
33.75	40
43.40	29
46.65	31
46.91	15
57.53	22
58.83	39
58.99	33

a b c (Å): 6.7559 7.7479 5.3113
angles (deg): 90.00 90.00 90.00
Fractional positions:
Sr1 0.0676 0.1310 0.0000
Sr2 0.4324 0.1310 0.5000
Sr3 0.5676 0.8690 0.0000
Sr4 0.9324 0.8690 0.5000
Hf1 0.0971 0.6207 0.9871
Hf2 0.4029 0.6207 0.4871
Hf3 0.5971 0.3793 0.9871
Hf4 0.9029 0.3793 0.4871
N1 0.1031 0.5680 0.6069
N2 0.3969 0.5680 0.1069
N3 0.6031 0.4320 0.6069
N4 0.8969 0.4320 0.1069
O1 0.0748 0.1670 0.4911
O2 0.4252 0.1670 0.9911
O3 0.5748 0.8330 0.4911
O4 0.9252 0.8330 0.9911



[5]
The following is a calculated X-ray powder pattern of Li4PrO4. It was derived from a DFT-relaxed cell (PBE, OQMD), using Cu Kα.
No peak broadening, texture or thermal motion is included.

Peak list (12 most intense, 2θ = 5–70°, low angle first)
two_theta	I_rel
16.83	40
21.14	100
25.59	26
29.38	32
30.79	32
36.47	42
37.05	22
42.57	19
43.57	17
52.56	20
52.97	24
58.91	15

a b c (Å): 5.3936 5.3936 6.9627
angles (deg): 90.00 90.00 77.58
Fractional positions:
Li1 0.0907 0.6202 0.7500
Li2 0.1536 0.1536 0.0000
Li3 0.1536 0.1536 0.5000
Li4 0.3798 0.9093 0.7500
Li5 0.6202 0.0907 0.2500
Li6 0.8464 0.8464 0.0000
Li7 0.8464 0.8464 0.5000
Li8 0.9093 0.3798 0.2500
Pr1 0.3622 0.6378 0.2500
Pr2 0.6378 0.3622 0.7500
O1 0.2198 0.7802 0.5403
O2 0.2198 0.7802 0.9597
O3 0.2367 0.2677 0.7500
O4 0.2677 0.2367 0.2500
O5 0.7323 0.7633 0.7500
O6 0.7633 0.7323 0.2500
O7 0.7802 0.2198 0.0403
O8 0.7802 0.2198 0.4597



[6]
The following is a calculated X-ray powder pattern of SrCd4Ge3. It was derived from a DFT-relaxed cell (PBE, OQMD), using Cu Kα.
No peak broadening, texture or thermal motion is included.

Peak list (12 most intense, 2θ = 5–70°, low angle first)
two_theta	I_rel
19.96	13
27.64	30
28.74	65
30.13	16
33.72	93
38.40	100
40.83	87
45.12	19
49.57	16
55.44	33
60.70	16
66.48	24

a b c (Å): 4.6881 4.6881 8.8973
angles (deg): 90.00 90.00 90.00
Fractional positions:
Sr1 0.0000 0.0000 0.0000
Cd1 0.0000 0.5000 0.3172
Cd2 0.0000 0.5000 0.6828
Cd3 0.5000 0.0000 0.3172
Cd4 0.5000 0.0000 0.6828
Ge1 0.0000 0.0000 0.5000
Ge2 0.5000 0.5000 0.1406
Ge3 0.5000 0.5000 0.8594



[7]
The following is a calculated X-ray powder pattern of Zr2CuTe4. It was derived from a DFT-relaxed cell (PBE, OQMD), using Cu Kα.
No peak broadening, texture or thermal motion is included.

Peak list (12 most intense, 2θ = 5–70°, low angle first)
two_theta	I_rel
25.00	100
26.45	6
28.50	6
32.84	10
40.75	23
41.70	44
44.03	4
48.40	28
50.06	16
58.99	7
65.07	5
66.45	14

a b c (Å): 6.2628 6.2628 11.9943
angles (deg): 90.00 90.00 90.00
Fractional positions:
Zr1 0.0000 0.0000 0.0000
Zr2 0.0000 0.5000 0.2500
Zr3 0.5000 0.0000 0.7500
Zr4 0.5000 0.5000 0.5000
Cu1 0.0000 0.0000 0.5000
Cu2 0.5000 0.5000 0.0000
Te1 0.2173 0.7423 0.6288
Te2 0.2423 0.2827 0.8712
Te3 0.2577 0.2173 0.3712
Te4 0.2827 0.7577 0.1288
Te5 0.7173 0.2423 0.1288
Te6 0.7423 0.7827 0.3712
Te7 0.7577 0.7173 0.8712
Te8 0.7827 0.2577 0.6288



[8]
The following is a calculated X-ray powder pattern of TmNbN2O. It was derived from a DFT-relaxed cell (PBE, OQMD), using Cu Kα.
No peak broadening, texture or thermal motion is included.

Peak list (12 most intense, 2θ = 5–70°, low angle first)
two_theta	I_rel
22.36	6
27.77	5
31.53	16
32.15	100
35.50	8
45.63	15
46.60	10
56.54	8
57.31	23
57.73	8
64.12	5
67.26	10

a b c (Å): 7.9524 7.7954 11.1445
angles (deg): 90.00 134.47 90.00
Fractional positions:
Tm1 0.1715 0.0197 0.2107
Tm2 0.1715 0.4803 0.7107
Tm3 0.2354 0.0108 0.7443
Tm4 0.2354 0.4892 0.2443
Tm5 0.7646 0.5108 0.7557
Tm6 0.7646 0.9892 0.2557
Tm7 0.8285 0.5197 0.2893
Tm8 0.8285 0.9803 0.7893
Nb1 0.2809 0.7398 0.0038
Nb2 0.2809 0.7602 0.5038
Nb3 0.2885 0.2457 0.5256
Nb4 0.2885 0.2543 0.0256
Nb5 0.7115 0.7457 0.9744
Nb6 0.7115 0.7543 0.4744
Nb7 0.7191 0.2398 0.4962
Nb8 0.7191 0.2602 0.9962
N1 0.1651 0.0055 0.4824
N2 0.1651 0.4945 0.9824
N3 0.2747 0.5036 0.4775
N4 0.2747 0.9964 0.9775
N5 0.4070 0.7037 0.9009
N6 0.4070 0.7963 0.4009
N7 0.4205 0.2333 0.2588
N8 0.4205 0.2667 0.7588
N9 0.5795 0.7333 0.2412
N10 0.5795 0.7667 0.7412
N11 0.5930 0.2037 0.5991
N12 0.5930 0.2963 0.0991
N13 0.7253 0.0036 0.0225
N14 0.7253 0.4964 0.5225
N15 0.8349 0.5055 0.0176
N16 0.8349 0.9945 0.5176
O1 0.0444 0.6872 0.5346
O2 0.0444 0.8128 0.0346
O3 0.0750 0.2436 0.7608
O4 0.0750 0.2564 0.2608
O5 0.9250 0.7436 0.7392
O6 0.9250 0.7564 0.2392
O7 0.9556 0.1872 0.9654
O8 0.9556 0.3128 0.4654